The following is a computed powder XRD pattern of KCrF3. It was derived from a crystal structure in the Materials Project, relaxed with PBE+U, using Cu Kα (λ = 1.5418 Å).

Atomic structure:
abc: 5.961 5.961 8.694
angles: 90.00 90.00 90.00
Space group I4/m (No. 87)
One atom of each set of equivalent atoms:
K (0.000, 0.500, 0.250) (multiplicity 4)
Cr (0.000, 0.000, 0.000) (multiplicity 2)
Cr (0.000, 0.000, 0.500) (multiplicity 2)
F (0.000, 0.000, 0.231) (multiplicity 4)
F (0.233, 0.251, 0.500) (multiplicity 8)

The 10 most intense peaks (2θ from 10° to 90°), in order of rising 2θ:
2θ = 21.1°, rel. 231, hkl 1 1 0; 2θ = 29.5°, rel. 1000, hkl 1 1 2; 2θ = 30.0°, rel. 478, hkl 2 0 0; 2θ = 36.6°, rel. 191, hkl 2 0 2; 2θ = 41.5°, rel. 366, hkl 0 0 4; 2θ = 42.9°, rel. 670, hkl 2 2 0; 2θ = 52.1°, rel. 169, hkl 2 0 4; 2θ = 52.9°, rel. 342, hkl 1 3 2; 2θ = 61.3°, rel. 375, hkl 2 2 4; 2θ = 62.3°, rel. 179, hkl 4 0 0